This entry pairs a crystal structure of Hf2Ti7Bi3 with its computed X-ray powder pattern. Radiation: Cu Kα (λ = 1.5418 Å). Structure: a crystal structure in Alexandria, relaxed with GGA-PBE.
Intensities are scaled so that the largest is 100.

Crystal structure
Unit cell a=4.8810 b=3.1141 c=16.6452 alpha=90.00 beta=92.18 gamma=90.00
Positions (direct):
Hf 0.2161 0.0000 0.2784
Hf 0.7839 0.0000 0.7216
Ti 0.2141 0.5000 0.1383
Ti 0.2450 0.0000 0.4572
Ti 0.3006 0.0000 0.8398
Ti 0.5000 0.5000 0.0000
Ti 0.6994 0.0000 0.1602
Ti 0.7550 0.0000 0.5428
Ti 0.7859 0.5000 0.8617
Bi 0.0000 0.0000 0.0000
Bi 0.2674 0.5000 0.6206
Bi 0.7326 0.5000 0.3794

Main lines, low angle first (10° ≤ 2θ ≤ 90°):
| 2θ/deg | I/Imax |
| --- | --- |
| 15.99 | 40 |
| 24.77 | 34 |
| 34.48 | 29 |
| 35.66 | 18 |
| 36.06 | 100 |
| 37.05 | 21 |
| 37.92 | 31 |
| 65.33 | 17 |



This entry pairs a crystal structure of Sr2YTi2AlO7 with its computed X-ray powder pattern. Radiation: Cu Kα (λ = 1.5418 Å). Structure: a crystal structure in Alexandria, relaxed with GGA-PBE.
Intensities are scaled so that the largest is 100.

Crystal structure
Unit cell a=12.1189 b=12.1189 c=12.1189 alpha=38.03 beta=153.00 gamma=153.73
Positions (direct):
Sr 0.0248 0.1565 0.1813
Sr 0.0248 0.3435 0.3683
Sr 0.9752 0.6565 0.6317
Sr 0.9752 0.8435 0.8187
Y 0.0088 0.0088 0.0000
Y 0.0088 0.5088 0.5000
Ti 0.5074 0.5705 0.0613
Ti 0.5074 0.9461 0.4369
Ti 0.5092 0.0705 0.5631
Ti 0.5092 0.4461 0.9387
Al 0.4036 0.7281 0.1755
Al 0.5527 0.2281 0.8245
O 0.0021 0.4082 0.0939
O 0.0085 0.1842 0.6886
O 0.0088 0.3340 0.8142
O 0.0088 0.6946 0.1749
O 0.0085 0.8199 0.3244
O 0.3143 0.9082 0.9061
O 0.4778 0.2167 0.6243
O 0.4778 0.3535 0.7611
O 0.4956 0.3199 0.3114
O 0.4956 0.6842 0.6756
O 0.5198 0.1946 0.1858
O 0.5198 0.8340 0.8251
O 0.5924 0.7167 0.2389
O 0.5924 0.8535 0.3757

Main lines, low angle first (10° ≤ 2θ ≤ 90°):
| 2θ/deg | I/Imax |
| --- | --- |
| 31.62 | 31 |
| 32.51 | 31 |
| 32.63 | 100 |
| 38.85 | 24 |
| 39.65 | 18 |
| 45.99 | 40 |
| 56.96 | 18 |
| 58.07 | 20 |



This entry pairs a crystal structure of Cd5In4Ga with its computed X-ray powder pattern. Radiation: Cu Kα (λ = 1.5418 Å). Structure: a crystal structure in Alexandria, relaxed with GGA-PBE.
Intensities are scaled so that the largest is 100.

Crystal structure
Unit cell a=11.1390 b=3.1247 c=14.2499 alpha=90.00 beta=97.36 gamma=90.00
Positions (direct):
Cd 0.0000 0.0038 0.2500
Cd 0.0000 0.9962 0.7500
Cd 0.0933 0.4948 0.9346
Cd 0.0933 0.5052 0.4346
Cd 0.4086 0.0146 0.0652
Cd 0.4086 0.9854 0.5652
Cd 0.5914 0.0146 0.4348
Cd 0.5914 0.9854 0.9348
Cd 0.9067 0.4948 0.5654
Cd 0.9067 0.5052 0.0654
In 0.1979 0.4938 0.6451
In 0.1979 0.5062 0.1451
In 0.3039 0.0038 0.3487
In 0.3039 0.9962 0.8487
In 0.6961 0.0038 0.1513
In 0.6961 0.9962 0.6513
In 0.8021 0.4938 0.8549
In 0.8021 0.5062 0.3549
Ga 0.5000 0.4888 0.7500
Ga 0.5000 0.5112 0.2500

Main lines, low angle first (10° ≤ 2θ ≤ 90°):
| 2θ/deg | I/Imax |
| --- | --- |
| 31.76 | 100 |
| 31.94 | 73 |
| 33.28 | 97 |
| 37.76 | 48 |
| 38.64 | 72 |
| 39.63 | 54 |
| 40.97 | 59 |
| 68.74 | 45 |